Calculated powder X-ray diffraction pattern
Compound: PmSnH
Radiation: Cu Kα, 1.54184 Å
Structure: a crystal structure in Alexandria, relaxed with GGA-PBE
Intensities are scaled so that the largest is 100.

Top 10 peaks for 10 to 80 degrees two-theta, by angle:
28.76 deg, d = 3.104 Å, I 10.7, hkl 0 0 2
29.99 deg, d = 2.980 Å, I 100.0, hkl 1 1 -1
35.40 deg, d = 2.536 Å, I 36.2, hkl 0 1 2
36.44 deg, d = 2.466 Å, I 29.0, hkl 1 1 1
41.07 deg, d = 2.198 Å, I 17.5, hkl 0 2 0
42.11 deg, d = 2.146 Å, I 22.0, hkl 2 0 -1
51.69 deg, d = 1.768 Å, I 14.0, hkl 1 2 1
56.15 deg, d = 1.638 Å, I 30.8, hkl 1 0 3
60.28 deg, d = 1.535 Å, I 17.4, hkl 2 2 -1
71.84 deg, d = 1.314 Å, I 15.5, hkl 1 2 3

Structure:
```
data_PmSnH
_cell_length_a 4.2897
_cell_length_b 4.3952
_cell_length_c 6.5690
_cell_angle_alpha 90.00
_cell_angle_beta 109.07
_cell_angle_gamma 90.00
_space_group_name_H-M_alt 'P 1 21/m 1'
_space_group_IT_number 11
_space_group_name_Hall '-P 2yb'
loop_
_atom_site_label
_atom_site_fract_x
_atom_site_fract_y
_atom_site_fract_z
_atom_site_occupancy
Pm1 0.1555 0.2500 0.3141 1
Sn1 0.4298 0.2500 0.8544 1
H1 0.2542 0.7500 0.5089 1
```


Calculated powder X-ray diffraction pattern
Compound: MgSb4F12
Radiation: Cu Kα, 1.54184 Å
Structure: a crystal structure in Alexandria, relaxed with GGA-PBE
Intensities are scaled so that the largest is 100.

Top 10 peaks for 10 to 80 degrees two-theta, by angle:
12.92 deg, d = 6.854 Å, I 40.1, hkl 0 0 1
15.38 deg, d = 5.762 Å, I 47.7, hkl 1 0 -1
19.22 deg, d = 4.618 Å, I 96.8, hkl 1 -1 1
20.70 deg, d = 4.292 Å, I 100.0, hkl 1 1 -1
22.46 deg, d = 3.958 Å, I 32.7, hkl 1 0 1
23.14 deg, d = 3.844 Å, I 32.4, hkl 0 1 1
25.97 deg, d = 3.431 Å, I 66.4, hkl 1 -2 0
28.19 deg, d = 3.165 Å, I 40.7, hkl 0 2 -2
28.61 deg, d = 3.120 Å, I 38.8, hkl 2 0 0
31.07 deg, d = 2.879 Å, I 34.6, hkl 2 -2 0

Structure:
```
data_MgSb4F12
_cell_length_a 6.9853
_cell_length_b 7.4468
_cell_length_c 7.9195
_cell_angle_alpha 111.89
_cell_angle_beta 102.30
_cell_angle_gamma 106.73
_space_group_name_H-M_alt 'P 1'
_space_group_IT_number 1
_space_group_name_Hall 'P 1'
loop_
_atom_site_label
_atom_site_fract_x
_atom_site_fract_y
_atom_site_fract_z
_atom_site_occupancy
Mg1 0.0000 0.0000 0.0000 1
Sb1 0.3917 0.7789 0.6717 1
Sb2 0.5026 0.4203 0.4679 1
Sb3 0.9535 0.9909 0.5016 1
Sb4 0.9587 0.5098 0.0081 1
F1 0.0831 0.0186 0.7781 1
F2 0.0883 0.7578 0.9423 1
F3 0.1120 0.7916 0.4426 1
F4 0.2360 0.2236 0.5722 1
F5 0.2548 0.5676 0.1270 1
F6 0.2985 0.2178 0.1934 1
F7 0.5607 0.9581 0.5828 1
F8 0.6817 0.5953 0.3722 1
F9 0.6893 0.7804 0.8134 1
F10 0.8943 0.2255 0.0333 1
F11 0.9284 0.9459 0.2118 1
F12 0.9460 0.3407 0.7405 1
```


Calculated powder X-ray diffraction pattern
Compound: ZnGa3Br
Radiation: Cu Kα, 1.54184 Å
Structure: a crystal structure in Alexandria, relaxed with GGA-PBE
Intensities are scaled so that the largest is 100.

Top 10 peaks for 10 to 80 degrees two-theta, by angle:
17.82 deg, d = 4.977 Å, I 16.1, hkl 1 0 0
25.31 deg, d = 3.519 Å, I 23.7, hkl 1 1 0
31.13 deg, d = 2.873 Å, I 75.9, hkl 1 1 1
36.10 deg, d = 2.488 Å, I 100.0, hkl 2 0 0
40.53 deg, d = 2.226 Å, I 8.3, hkl 2 1 0
44.60 deg, d = 2.032 Å, I 9.8, hkl 2 1 1
51.97 deg, d = 1.760 Å, I 68.4, hkl 2 2 0
61.83 deg, d = 1.501 Å, I 30.7, hkl 3 1 1
64.91 deg, d = 1.437 Å, I 22.8, hkl 2 2 2
76.58 deg, d = 1.244 Å, I 10.4, hkl 4 0 0

Structure:
```
data_ZnGa3Br
_cell_length_a 4.9767
_cell_length_b 4.9767
_cell_length_c 4.9767
_cell_angle_alpha 90.00
_cell_angle_beta 90.00
_cell_angle_gamma 90.00
_space_group_name_H-M_alt 'P m -3 m'
_space_group_IT_number 221
_space_group_name_Hall '-P 4 2 3'
loop_
_atom_site_label
_atom_site_fract_x
_atom_site_fract_y
_atom_site_fract_z
_atom_site_occupancy
Zn1 0.0000 0.0000 0.0000 1
Ga1 0.0000 0.0000 0.5000 1
Br1 0.5000 0.5000 0.5000 1
```


Calculated powder X-ray diffraction pattern
Compound: Pr5Dy3Ho4
Radiation: Cu Kα, 1.54184 Å
Structure: a crystal structure in Alexandria, relaxed with GGA-PBE
Intensities are scaled so that the largest is 100.

Top 10 peaks for 10 to 80 degrees two-theta, by angle:
28.05 deg, d = 3.181 Å, I 15.9, hkl 3 1 1
29.16 deg, d = 3.062 Å, I 23.1, hkl 1 1 -3
29.78 deg, d = 3.000 Å, I 46.8, hkl 3 1 -2
30.31 deg, d = 2.949 Å, I 100.0, hkl 4 0 1
30.73 deg, d = 2.909 Å, I 55.9, hkl 0 2 0
34.57 deg, d = 2.594 Å, I 13.1, hkl 3 1 -3
37.61 deg, d = 2.391 Å, I 9.3, hkl 1 1 4
43.69 deg, d = 2.072 Å, I 32.8, hkl 4 2 1
53.21 deg, d = 1.721 Å, I 10.6, hkl 2 2 -5
54.40 deg, d = 1.686 Å, I 15.1, hkl 1 3 3

Structure:
```
data_Pr5Dy3Ho4
_cell_length_a 12.6573
_cell_length_b 5.8182
_cell_length_c 11.0023
_cell_angle_alpha 90.00
_cell_angle_beta 95.61
_cell_angle_gamma 90.00
_space_group_name_H-M_alt 'C 1 2/m 1'
_space_group_IT_number 12
_space_group_name_Hall '-C 2y'
loop_
_atom_site_label
_atom_site_fract_x
_atom_site_fract_y
_atom_site_fract_z
_atom_site_occupancy
Pr1 0.0000 0.0000 0.0000 1
Pr2 0.1014 0.5000 0.5905 1
Pr3 0.1484 0.5000 0.2681 1
Dy1 0.0000 0.5000 0.0000 1
Dy2 0.2452 0.5000 0.8926 1
Ho1 0.0766 0.0000 0.7551 1
Ho2 0.1461 0.0000 0.4502 1
```


Calculated powder X-ray diffraction pattern
Compound: MgCd4Au7
Radiation: Cu Kα, 1.54184 Å
Structure: a crystal structure in Alexandria, relaxed with GGA-PBE
Intensities are scaled so that the largest is 100.

Top 10 peaks for 10 to 80 degrees two-theta, by angle:
24.41 deg, d = 3.647 Å, I 55.9, hkl 1 1 -2
34.38 deg, d = 2.609 Å, I 25.9, hkl 4 0 -1
34.57 deg, d = 2.595 Å, I 21.6, hkl 2 0 -4
35.00 deg, d = 2.564 Å, I 100.0, hkl 0 2 0
39.00 deg, d = 2.309 Å, I 88.4, hkl 3 1 1
39.83 deg, d = 2.263 Å, I 24.6, hkl 1 1 3
39.97 deg, d = 2.256 Å, I 24.5, hkl 3 1 -4
40.28 deg, d = 2.239 Å, I 46.9, hkl 1 1 -4
45.99 deg, d = 1.973 Å, I 21.3, hkl 5 1 -3
65.47 deg, d = 1.426 Å, I 21.0, hkl 3 3 1

Structure:
```
data_MgCd4Au7
_cell_length_a 10.8095
_cell_length_b 5.1254
_cell_length_c 10.3799
_cell_angle_alpha 90.00
_cell_angle_beta 119.69
_cell_angle_gamma 90.00
_space_group_name_H-M_alt 'C 1 2/m 1'
_space_group_IT_number 12
_space_group_name_Hall '-C 2y'
loop_
_atom_site_label
_atom_site_fract_x
_atom_site_fract_y
_atom_site_fract_z
_atom_site_occupancy
Mg1 0.0000 0.0000 0.0000 1
Cd1 0.0950 0.5000 0.7738 1
Cd2 0.2444 0.0000 0.6658 1
Au1 0.0000 0.5000 0.0000 1
Au2 0.0703 0.0000 0.3144 1
Au3 0.1366 0.5000 0.5233 1
Au4 0.2121 0.0000 0.9159 1
```


Calculated powder X-ray diffraction pattern
Compound: Zr3Tl2In
Radiation: Cu Kα, 1.54184 Å
Structure: a crystal structure in Alexandria, relaxed with GGA-PBE
Intensities are scaled so that the largest is 100.

Top 10 peaks for 10 to 80 degrees two-theta, by angle:
20.06 deg, d = 4.427 Å, I 8.0, hkl 0 0 3
27.89 deg, d = 3.199 Å, I 7.5, hkl 1 0 0
34.59 deg, d = 2.593 Å, I 100.0, hkl 1 0 3
39.85 deg, d = 2.262 Å, I 33.9, hkl 1 1 0
40.76 deg, d = 2.213 Å, I 15.8, hkl 0 0 6
57.62 deg, d = 1.600 Å, I 11.4, hkl 2 0 0
58.32 deg, d = 1.582 Å, I 22.0, hkl 1 1 6
68.98 deg, d = 1.361 Å, I 26.5, hkl 2 1 3
70.25 deg, d = 1.340 Å, I 12.6, hkl 1 0 9
72.97 deg, d = 1.296 Å, I 11.2, hkl 2 0 6

Structure:
```
data_Zr3Tl2In
_cell_length_a 3.1992
_cell_length_b 3.1992
_cell_length_c 13.2810
_cell_angle_alpha 90.00
_cell_angle_beta 90.00
_cell_angle_gamma 90.00
_space_group_name_H-M_alt 'P 4/m m m'
_space_group_IT_number 123
_space_group_name_Hall '-P 4 2'
loop_
_atom_site_label
_atom_site_fract_x
_atom_site_fract_y
_atom_site_fract_z
_atom_site_occupancy
Zr1 0.0000 0.0000 0.0000 1
Zr2 0.0000 0.0000 0.3368 1
Tl1 0.5000 0.5000 0.1676 1
In1 0.5000 0.5000 0.5000 1
```


Calculated powder X-ray diffraction pattern
Compound: LaPrHo2Tm
Radiation: Cu Kα, 1.54184 Å
Structure: a crystal structure in Alexandria, relaxed with GGA-PBE
Intensities are scaled so that the largest is 100.

Top 10 peaks for 10 to 80 degrees two-theta, by angle:
15.77 deg, d = 5.619 Å, I 14.7, hkl 0 1 0
26.06 deg, d = 3.419 Å, I 21.7, hkl 0 1 2
31.10 deg, d = 2.875 Å, I 100.0, hkl 1 1 1
31.85 deg, d = 2.810 Å, I 35.8, hkl 0 2 0
32.23 deg, d = 2.777 Å, I 17.7, hkl 1 0 2
35.08 deg, d = 2.558 Å, I 21.6, hkl 0 1 3
36.07 deg, d = 2.490 Å, I 24.9, hkl 1 1 2
45.94 deg, d = 1.975 Å, I 13.4, hkl 1 2 2
56.28 deg, d = 1.635 Å, I 16.1, hkl 1 3 1
61.82 deg, d = 1.501 Å, I 19.1, hkl 1 1 5

Structure:
```
data_LaPrHo2Tm
_cell_length_a 3.6329
_cell_length_b 5.6195
_cell_length_c 8.6178
_cell_angle_alpha 90.00
_cell_angle_beta 90.00
_cell_angle_gamma 90.00
_space_group_name_H-M_alt 'P m m m'
_space_group_IT_number 47
_space_group_name_Hall '-P 2 2'
loop_
_atom_site_label
_atom_site_fract_x
_atom_site_fract_y
_atom_site_fract_z
_atom_site_occupancy
La1 0.0000 0.0000 0.0000 1
Pr1 0.5000 0.0000 0.5000 1
Ho1 0.0000 0.5000 0.3168 1
Tm1 0.5000 0.5000 0.0000 1
```